La4Y2Th: theoretical XRD peak list (a wavelength of 1.5418 Å), based on the PBE geometry in Alexandria.
Lines closer than 0.1° are merged.

Lattice parameters (Å, degrees): 8.3651 8.3651 3.5306 90.00 90.00 90.00
Sites, in units of the cell vectors:
La  0.2074  0.2074  0.3705
La  0.2074  0.7926  0.6295
La  0.7926  0.2074  0.6295
La  0.7926  0.7926  0.3705
Y  0.0000  0.5000  0.0000
Y  0.5000  0.0000  0.0000
Th  0.5000  0.5000  0.5000

Top 10 peaks for 2θ = 10–90°, by intensity:
hkl 1 1 1, 29.46°, rel. 100; hkl 2 2 0, 30.22°, rel. 95; hkl 2 1 0, 23.78°, rel. 63; hkl 2 1 1, 34.94°, rel. 53; hkl 3 0 0, 32.10°, rel. 47; hkl 3 1 1, 42.71°, rel. 41; hkl 3 0 1, 41.26°, rel. 30; hkl 4 0 0, 43.26°, rel. 24; hkl 3 3 1, 53.21°, rel. 23; hkl 5 2 0, 59.51°, rel. 20